[1]
Computed PXRD pattern
Compound: La10NdY4
Radiation: Cu Kα (weighted mean of Kα1 and Kα2)
Structure: a structure optimized by DFT (GGA-PBE)
Neutral-atom scattering factors, no anomalous dispersion.

Principal peaks in the range 15° ≤ 2θ ≤ 90°, by intensity:
2θ = 30.8°, I 100
2θ = 31.2°, I 82
2θ = 33.1°, I 40
2θ = 29.9°, I 40
2θ = 39.9°, I 38
2θ = 44.1°, I 33

Structure:
```
15
Lattice="-5.807 5.807 4.007 5.807 -5.807 4.007 5.807 5.807 -4.007" Properties=species:S:1:pos:R:3 pbc="T T T"
La 5.807 -3.284 2.343
La 2.522 0.000 1.664
La 9.091 0.000 1.664
La 5.807 0.000 2.004
La 0.000 2.522 1.664
La 5.807 3.284 2.343
La 0.000 5.807 2.004
La -3.284 5.807 2.343
La 3.284 5.807 2.343
La 0.000 9.091 1.664
Nd 0.000 0.000 4.007
Y 3.155 3.155 0.000
Y 2.652 -2.652 4.007
Y -2.652 2.652 4.007
Y 2.652 2.652 4.007
```

[2]
Computed PXRD pattern
Compound: La3NdY7
Radiation: Cu Kα (weighted mean of Kα1 and Kα2)
Structure: a structure optimized by DFT (GGA-PBE)
Neutral-atom scattering factors, no anomalous dispersion.

Principal peaks in the range 15° ≤ 2θ ≤ 90°, by intensity:
2θ = 31.6°, I 100
2θ = 31.0°, I 81
2θ = 31.9°, I 32
2θ = 31.4°, I 30
2θ = 31.8°, I 29
2θ = 32.4°, I 27

Structure:
```
11
Lattice="6.626 0.000 0.000 -0.582 6.736 0.000 -1.316 -1.555 8.537" Properties=species:S:1:pos:R:3 pbc="T T T"
La 0.000 0.000 0.000
La 0.782 3.544 1.367
La 3.946 1.637 7.170
Nd 2.655 -0.777 4.268
Y -1.130 4.253 4.984
Y 0.637 0.657 6.705
Y 1.352 4.026 7.289
Y 2.364 2.591 4.268
Y 3.376 1.156 1.247
Y 4.091 4.525 1.832
Y 5.859 0.928 3.552
```

[3]
Computed PXRD pattern
Compound: La2Nd3Y3
Radiation: Cu Kα (weighted mean of Kα1 and Kα2)
Structure: a structure optimized by DFT (GGA-PBE)
Neutral-atom scattering factors, no anomalous dispersion.

Principal peaks in the range 15° ≤ 2θ ≤ 90°, by intensity:
2θ = 29.9°, I 100
2θ = 34.5°, I 17
2θ = 34.7°, I 17
2θ = 34.9°, I 17
2θ = 59.1°, I 14
2θ = 59.2°, I 14

Structure:
```
8
Lattice="-2.587 2.597 10.293 2.587 -2.597 10.293 2.587 2.597 -10.293" Properties=species:S:1:pos:R:3 pbc="T T T"
La 0.000 0.000 5.151
La 0.000 0.000 15.435
Nd 0.000 0.000 0.000
Nd 2.587 0.000 7.764
Nd 0.000 2.597 2.529
Y 2.587 0.000 2.531
Y 0.000 0.000 10.293
Y 0.000 2.597 7.762
```

[4]
Computed PXRD pattern
Compound: La8Nd3Y2
Radiation: Cu Kα (weighted mean of Kα1 and Kα2)
Structure: a structure optimized by DFT (GGA-PBE)
Neutral-atom scattering factors, no anomalous dispersion.

Principal peaks in the range 15° ≤ 2θ ≤ 90°, by intensity:
2θ = 30.6°, I 100
2θ = 28.8°, I 67
2θ = 29.6°, I 56
2θ = 53.2°, I 30
2θ = 31.8°, I 25
2θ = 30.0°, I 23

Structure:
```
13
Lattice="6.777 -6.034 0.000 6.777 6.034 0.000 -2.377 0.000 5.752" Properties=species:S:1:pos:R:3 pbc="T T T"
La 0.557 0.000 1.374
La 2.550 2.963 4.850
La 3.887 0.000 2.353
La 8.627 2.963 0.902
La 2.550 -2.963 4.850
La 7.289 0.000 3.399
La 8.627 -2.963 0.902
La 10.620 0.000 4.378
Nd 5.588 3.264 2.876
Nd 6.777 0.000 0.000
Nd 5.588 -3.264 2.876
Y 0.670 0.000 4.737
Y 10.507 0.000 1.015
```

[5]
Computed PXRD pattern
Compound: La5NdY8
Radiation: Cu Kα (weighted mean of Kα1 and Kα2)
Structure: a structure optimized by DFT (GGA-PBE)
Neutral-atom scattering factors, no anomalous dispersion.

Principal peaks in the range 15° ≤ 2θ ≤ 90°, by intensity:
2θ = 33.2°, I 100
2θ = 29.1°, I 84
2θ = 28.9°, I 72
2θ = 27.5°, I 64
2θ = 34.4°, I 55
2θ = 33.9°, I 46

Structure:
```
14
Lattice="-4.858 4.858 5.167 4.858 -4.858 5.167 4.858 4.858 -5.167" Properties=species:S:1:pos:R:3 pbc="T T T"
La 0.000 0.000 0.000
La 2.746 3.798 -0.797
La 5.918 2.746 0.797
La 2.112 1.060 4.370
La -1.060 2.112 5.964
Nd 0.000 4.858 2.584
Y 6.565 -0.715 1.051
Y 5.654 3.157 -2.649
Y 3.152 0.715 1.051
Y 4.143 -1.706 4.116
Y -0.796 1.701 2.518
Y 5.574 1.706 4.116
Y 3.157 4.062 2.649
Y 1.701 0.796 7.817
```

[6]
Computed PXRD pattern
Compound: LaNd4Y
Radiation: Cu Kα (weighted mean of Kα1 and Kα2)
Structure: a structure optimized by DFT (GGA-PBE)
Neutral-atom scattering factors, no anomalous dispersion.

Principal peaks in the range 15° ≤ 2θ ≤ 90°, by intensity:
2θ = 29.8°, I 100
2θ = 29.8°, I 99
2θ = 34.5°, I 68
2θ = 49.7°, I 60
2θ = 34.6°, I 33
2θ = 58.9°, I 29

Structure:
```
6
Lattice="6.087 -1.843 0.000 6.087 1.843 0.000 -4.390 0.000 9.383" Properties=species:S:1:pos:R:3 pbc="T T T"
La 0.000 0.000 0.000
Nd 1.134 0.000 6.232
Nd 3.322 0.000 1.587
Nd 4.461 0.000 7.795
Nd 6.649 0.000 3.151
Y -2.195 0.000 4.691
```

[7]
Computed PXRD pattern
Compound: La2Nd2Y
Radiation: Cu Kα (weighted mean of Kα1 and Kα2)
Structure: a structure optimized by DFT (GGA-PBE)
Neutral-atom scattering factors, no anomalous dispersion.

Principal peaks in the range 15° ≤ 2θ ≤ 90°, by intensity:
2θ = 30.3°, I 100
2θ = 33.9°, I 89
2θ = 30.8°, I 80
2θ = 28.2°, I 76
2θ = 29.5°, I 72
2θ = 29.7°, I 71

Structure:
```
10
Lattice="4.880 -4.152 0.000 4.880 4.152 0.000 -3.748 0.000 8.706" Properties=species:S:1:pos:R:3 pbc="T T T"
La 0.566 2.745 7.415
La 3.572 2.745 5.643
La 2.440 -2.745 3.062
La 5.446 -2.745 1.291
Nd 1.298 0.495 4.534
Nd 3.172 -0.495 0.181
Nd 2.840 0.495 8.525
Nd 4.714 -0.495 4.172
Y 3.943 2.329 2.176
Y 2.069 -2.329 6.529
```

[8]
Computed PXRD pattern
Compound: LaNd3Y6
Radiation: Cu Kα (weighted mean of Kα1 and Kα2)
Structure: a structure optimized by DFT (GGA-PBE)
Neutral-atom scattering factors, no anomalous dispersion.

Principal peaks in the range 15° ≤ 2θ ≤ 90°, by intensity:
2θ = 30.9°, I 100
2θ = 29.0°, I 43
2θ = 17.7°, I 27
2θ = 32.2°, I 24
2θ = 41.3°, I 23
2θ = 54.9°, I 19

Structure:
```
10
Lattice="5.016 2.896 3.908 -5.016 2.896 3.908 0.000 -5.792 3.908" Properties=species:S:1:pos:R:3 pbc="T T T"
La 0.000 0.000 0.000
Nd 0.000 0.000 2.933
Nd 0.000 0.000 5.862
Nd 0.000 0.000 8.792
Y -3.262 -0.001 5.852
Y -1.725 -2.896 7.806
Y 1.632 -2.824 5.852
Y -1.646 2.942 7.806
Y 1.630 2.825 5.852
Y 3.371 -0.046 7.806
```

[9]
Computed PXRD pattern
Compound: La2Nd3Y8
Radiation: Cu Kα (weighted mean of Kα1 and Kα2)
Structure: a structure optimized by DFT (GGA-PBE)
Neutral-atom scattering factors, no anomalous dispersion.

Principal peaks in the range 15° ≤ 2θ ≤ 90°, by intensity:
2θ = 30.9°, I 100
2θ = 31.7°, I 85
2θ = 30.6°, I 77
2θ = 33.1°, I 75
2θ = 28.5°, I 72
2θ = 32.3°, I 34

Structure:
```
13
Lattice="7.453 -4.639 0.000 7.453 4.639 0.000 -2.182 0.000 6.674" Properties=species:S:1:pos:R:3 pbc="T T T"
La 2.321 0.000 2.816
La 10.403 0.000 3.858
Nd 0.000 0.000 0.000
Nd 6.362 3.010 3.337
Nd 6.362 -3.010 3.337
Y 0.904 0.000 5.976
Y 3.889 1.673 5.529
Y 5.633 0.000 1.809
Y 8.835 1.673 1.145
Y 3.889 -1.673 5.529
Y 7.091 0.000 4.864
Y 8.835 -1.673 1.145
Y 11.820 0.000 0.698
```

[10]
Computed PXRD pattern
Compound: LaNd5Y4
Radiation: Cu Kα (weighted mean of Kα1 and Kα2)
Structure: a structure optimized by DFT (GGA-PBE)
Neutral-atom scattering factors, no anomalous dispersion.

Principal peaks in the range 15° ≤ 2θ ≤ 90°, by intensity:
2θ = 30.0°, I 100
2θ = 34.7°, I 34
2θ = 59.3°, I 28
2θ = 50.2°, I 23
2θ = 35.1°, I 16
2θ = 59.8°, I 13

Structure:
```
10
Lattice="3.658 0.000 0.000 0.000 3.658 0.000 0.000 0.000 25.580" Properties=species:S:1:pos:R:3 pbc="T T T"
La 0.000 0.000 0.000
Nd 1.829 1.829 2.644
Nd 1.829 1.829 7.728
Nd 1.829 1.829 12.790
Nd 1.829 1.829 17.852
Nd 1.829 1.829 22.936
Y 0.000 0.000 5.196
Y 0.000 0.000 10.258
Y 0.000 0.000 15.322
Y 0.000 0.000 20.385
```

[11]
Computed PXRD pattern
Compound: La2Nd4Y
Radiation: Cu Kα (weighted mean of Kα1 and Kα2)
Structure: a structure optimized by DFT (GGA-PBE)
Neutral-atom scattering factors, no anomalous dispersion.

Principal peaks in the range 15° ≤ 2θ ≤ 90°, by intensity:
2θ = 31.2°, I 100
2θ = 31.4°, I 29
2θ = 29.6°, I 20
2θ = 33.5°, I 17
2θ = 30.7°, I 17
2θ = 32.7°, I 12

Structure:
```
14
Lattice="7.082 0.000 0.000 0.000 10.688 0.000 -2.056 0.000 6.798" Properties=species:S:1:pos:R:3 pbc="T T T"
La 0.000 0.000 0.000
La -1.028 0.000 3.399
La 0.000 5.344 0.000
La 3.541 0.000 0.000
Nd 1.248 2.357 2.135
Nd 1.248 8.330 2.135
Nd 0.283 3.099 5.520
Nd 0.283 7.588 5.520
Nd 4.743 3.099 1.277
Nd 4.743 7.588 1.277
Nd 3.778 2.357 4.662
Nd 3.778 8.330 4.662
Y -1.028 5.344 3.399
Y 2.513 5.344 3.399
```

[12]
Computed PXRD pattern
Compound: La3Nd4Y3
Radiation: Cu Kα (weighted mean of Kα1 and Kα2)
Structure: a structure optimized by DFT (GGA-PBE)
Neutral-atom scattering factors, no anomalous dispersion.

Principal peaks in the range 15° ≤ 2θ ≤ 90°, by intensity:
2θ = 31.1°, I 100
2θ = 29.3°, I 33
2θ = 29.5°, I 33
2θ = 29.6°, I 25
2θ = 56.4°, I 21
2θ = 54.2°, I 13

Structure:
```
10
Lattice="3.873 0.000 0.000 0.000 6.816 6.764 0.000 -6.816 6.764" Properties=species:S:1:pos:R:3 pbc="T T T"
La 0.000 0.000 0.000
La 1.936 -3.338 5.663
La 1.936 3.338 5.663
Nd 1.936 -1.757 2.328
Nd 1.936 1.757 2.328
Nd 1.936 0.000 7.345
Nd 1.936 0.000 10.772
Y 0.000 0.000 4.605
Y 0.000 -2.309 9.055
Y 0.000 2.309 9.055
```

[13]
Computed PXRD pattern
Compound: La12Nd2Y5
Radiation: Cu Kα (weighted mean of Kα1 and Kα2)
Structure: a structure optimized by DFT (GGA-PBE)
Neutral-atom scattering factors, no anomalous dispersion.

Principal peaks in the range 15° ≤ 2θ ≤ 90°, by intensity:
2θ = 30.7°, I 100
2θ = 30.6°, I 43
2θ = 30.0°, I 23
2θ = 32.7°, I 18
2θ = 45.4°, I 11
2θ = 54.4°, I 10

Structure:
```
19
Lattice="10.979 -5.483 0.000 10.979 5.483 0.000 -1.531 0.000 5.643" Properties=species:S:1:pos:R:3 pbc="T T T"
La 5.461 3.068 4.501
La 1.504 0.000 0.734
La 8.539 3.180 2.218
La 11.888 3.180 3.424
La 6.879 0.000 5.284
La 14.967 3.068 1.141
La 5.461 -3.068 4.501
La 13.549 0.000 0.358
La 8.539 -3.180 2.218
La 11.888 -3.180 3.424
La 18.924 0.000 4.909
La 14.967 -3.068 1.141
Nd 10.979 2.196 0.000
Nd 10.979 -2.196 0.000
Y 3.465 0.000 4.165
Y 6.370 0.000 2.078
Y 10.214 0.000 2.821
Y 14.058 0.000 3.565
Y 16.962 0.000 1.477
```